No. 1
For NdGaCu2Ir, a structure optimized by DFT (PBE) gives the computed PXRD pattern in this record (Cu Kα (λ = 1.5418 Å)).

Most intense lines, 2θ from 10° to 90°, in order of rising 2θ:
d 2.847, 2θ 31.42, I 367, hkl 1 1 0; d 2.752, 2θ 32.54, I 410, hkl 0 1 3; d 2.704, 2θ 33.14, I 410, hkl 1 0 3; d 2.534, 2θ 35.42, I 1000, hkl 1 1 2; d 2.053, 2θ 44.11, I 319, hkl 0 2 0; d 1.976, 2θ 45.94, I 284, hkl 2 0 0

Crystal structure
Unit cell a=3.951 b=4.106 c=11.122 alpha=90.00 beta=90.00 gamma=90.00
Space group Imm2 (No. 44)
Asymmetric unit:
Nd1 0.000 0.000 0.000 (multiplicity 2)
Ga1 0.000 0.500 0.753 (multiplicity 2)
Cu1 0.000 0.000 0.620 (multiplicity 2)
Cu2 0.000 0.500 0.255 (multiplicity 2)
Ir1 0.000 0.000 0.395 (multiplicity 2)

No. 2
For NdTh2Os9, a structure optimized by DFT (PBE) gives the computed PXRD pattern in this record (Cu Kα (λ = 1.5418 Å)).

Most intense lines, 2θ from 10° to 90°, in order of rising 2θ:
d 2.675, 2θ 33.50, I 974, hkl 2 0 2; d 2.355, 2θ 38.21, I 820, hkl 2 2 -1; d 2.336, 2θ 38.54, I 1000, hkl 0 2 2; d 2.296, 2θ 39.25, I 932, hkl 3 1 -3; d 2.281, 2θ 39.50, I 832, hkl 3 1 1; d 2.154, 2θ 41.94, I 638, hkl 2 2 1

Crystal structure
Unit cell a=9.196 b=5.512 c=9.345 alpha=90.00 beta=109.61 gamma=90.00
Space group C2/m (No. 12)
Asymmetric unit:
Nd1 0.000 0.000 0.000 (multiplicity 2)
Th1 0.138 0.000 0.419 (multiplicity 4)
Os1 0.000 0.500 0.500 (multiplicity 2)
Os2 0.095 0.500 0.260 (multiplicity 4)
Os3 0.137 0.500 0.995 (multiplicity 4)
Os4 0.173 0.254 0.767 (multiplicity 8)

No. 3
For Sr3Sc, a structure optimized by DFT (PBE) gives the computed PXRD pattern in this record (Cu Kα (λ = 1.5418 Å)).

Most intense lines, 2θ from 10° to 90°, in order of rising 2θ:
d 3.857, 2θ 23.06, I 155, hkl 1 0 1; d 3.219, 2θ 27.71, I 1000, hkl 1 0 2; d 2.950, 2θ 30.30, I 470, hkl 1 1 0; d 2.221, 2θ 40.62, I 130, hkl 1 1 3; d 2.086, 2θ 43.37, I 172, hkl 2 0 0; d 1.751, 2θ 52.25, I 329, hkl 2 1 2

Crystal structure
Unit cell a=4.172 b=4.172 c=10.122 alpha=90.00 beta=90.00 gamma=90.00
Space group P4/mmm (No. 123)
Asymmetric unit:
Sr1 0.000 0.000 0.000 (multiplicity 1)
Sr2 0.500 0.500 0.293 (multiplicity 2)
Sc1 0.000 0.000 0.500 (multiplicity 1)

No. 4
For PmDySnRu, a structure optimized by DFT (PBE) gives the computed PXRD pattern in this record (Cu Kα (λ = 1.5418 Å)).

Most intense lines, 2θ from 10° to 90°, in order of rising 2θ:
d 2.962, 2θ 30.17, I 388, hkl 0 1 3; d 2.892, 2θ 30.92, I 242, hkl 0 0 4; d 2.833, 2θ 31.58, I 1000, hkl 1 1 1; d 2.329, 2θ 38.66, I 467, hkl 1 1 3; d 2.313, 2θ 38.93, I 316, hkl 0 2 0; d 2.294, 2θ 39.27, I 243, hkl 1 0 4

Crystal structure
Unit cell a=3.769 b=4.626 c=11.567 alpha=90.00 beta=90.00 gamma=90.00
Space group Amm2 (No. 38)
Asymmetric unit:
Pm1 0.000 0.000 0.000 (multiplicity 2)
Dy1 0.500 0.000 0.703 (multiplicity 2)
Sn1 0.500 0.000 0.404 (multiplicity 2)
Ru1 0.000 0.000 0.235 (multiplicity 2)

No. 5
For NdHo12Tm2, a structure optimized by DFT (PBE) gives the computed PXRD pattern in this record (Cu Kα (λ = 1.5418 Å)).

Most intense lines, 2θ from 10° to 90°, in order of rising 2θ:
d 2.929, 2θ 30.53, I 1000, hkl 0 1 7; d 2.851, 2θ 31.38, I 449, hkl 1 1 -3; d 2.768, 2θ 32.35, I 684, hkl 0 2 0; d 2.756, 2θ 32.49, I 394, hkl 1 0 5; d 2.738, 2θ 32.70, I 709, hkl 1 1 -4; d 2.648, 2θ 33.85, I 337, hkl 0 1 8

Crystal structure
Unit cell a=3.543 b=5.535 c=24.188 alpha=90.00 beta=94.16 gamma=90.00
Space group P2/m (No. 10)
Asymmetric unit:
Nd1 0.000 0.000 0.000 (multiplicity 1)
Ho1 0.069 0.000 0.139 (multiplicity 2)
Ho2 0.099 0.500 0.203 (multiplicity 2)
Ho3 0.166 0.500 0.330 (multiplicity 2)
Ho4 0.214 0.000 0.425 (multiplicity 2)
Ho5 0.276 0.500 0.555 (multiplicity 2)
Ho6 0.463 0.500 0.924 (multiplicity 2)
Tm1 0.365 0.000 0.728 (multiplicity 2)

No. 6
For RbZnInSb, a structure optimized by DFT (PBE) gives the computed PXRD pattern in this record (Cu Kα (λ = 1.5418 Å)).

Most intense lines, 2θ from 10° to 90°, in order of rising 2θ:
d 7.407, 2θ 11.95, I 495, hkl 0 0 2; d 3.734, 2θ 23.83, I 477, hkl 1 0 2; d 3.253, 2θ 27.42, I 740, hkl 1 0 3; d 2.826, 2θ 31.66, I 1000, hkl 1 1 2; d 2.162, 2θ 41.78, I 533, hkl 2 0 0; d 1.921, 2θ 47.32, I 470, hkl 1 1 6

Crystal structure
Unit cell a=4.324 b=4.324 c=14.815 alpha=90.00 beta=90.00 gamma=90.00
Space group P4/nmm (No. 129, origin choice 2)
Asymmetric unit:
Rb1 0.250 0.250 0.245 (multiplicity 2)
Zn1 0.250 0.750 0.500 (multiplicity 2)
In1 0.250 0.750 0.000 (multiplicity 2)
Sb1 0.250 0.250 0.615 (multiplicity 2)

No. 7
For Nd5ThHg6, a structure optimized by DFT (PBE) gives the computed PXRD pattern in this record (Cu Kα (λ = 1.5418 Å)).

Most intense lines, 2θ from 10° to 90°, in order of rising 2θ:
d 2.714, 2θ 33.01, I 1000, hkl 1 3 2; d 2.705, 2θ 33.11, I 198, hkl 2 0 0; d 1.915, 2θ 47.49, I 147, hkl 2 6 0; d 1.569, 2θ 58.88, I 155, hkl 2 0 4; d 1.565, 2θ 59.04, I 308, hkl 3 3 2; d 1.211, 2θ 79.06, I 135, hkl 4 6 0

Crystal structure
Unit cell a=5.411 b=16.259 c=7.697 alpha=90.00 beta=90.00 gamma=90.00
Space group Cmmm (No. 65)
Asymmetric unit:
Nd1 0.000 0.000 0.000 (multiplicity 2)
Nd2 0.000 0.333 0.000 (multiplicity 4)
Nd3 0.000 0.335 0.500 (multiplicity 4)
Th1 0.000 0.000 0.500 (multiplicity 2)
Hg1 0.000 0.167 0.250 (multiplicity 8)
Hg2 0.000 0.500 0.248 (multiplicity 4)

No. 8
For K16Cd12Hg, a structure optimized by DFT (PBE) gives the computed PXRD pattern in this record (Cu Kα (λ = 1.5418 Å)).

Most intense lines, 2θ from 10° to 90°, in order of rising 2θ:
d 5.250, 2θ 16.89, I 567, hkl 2 0 -2; d 5.071, 2θ 17.49, I 515, hkl 1 3 -1; d 3.081, 2θ 28.98, I 756, hkl 4 2 -2; d 3.060, 2θ 29.18, I 644, hkl 1 5 1; d 2.979, 2θ 30.00, I 586, hkl 1 5 -2; d 2.732, 2θ 32.78, I 1000, hkl 3 5 -1

Crystal structure
Unit cell a=13.311 b=17.374 c=11.578 alpha=90.00 beta=117.08 gamma=90.00
Space group Cm (No. 8)
Asymmetric unit:
K1 0.000 0.000 0.000 (multiplicity 2)
K2 0.001 0.380 0.367 (multiplicity 4)
K3 0.016 0.300 0.719 (multiplicity 4)
K4 0.163 0.173 0.577 (multiplicity 4)
K5 0.196 0.190 0.010 (multiplicity 4)
K6 0.205 0.500 0.715 (multiplicity 2)
K7 0.284 0.307 0.345 (multiplicity 4)
K8 0.353 0.000 0.618 (multiplicity 2)
K9 0.460 0.500 0.340 (multiplicity 2)
K10 0.479 0.111 0.013 (multiplicity 4)
Cd1 0.173 0.000 0.822 (multiplicity 2)
Cd2 0.205 0.090 0.299 (multiplicity 4)
Cd3 0.262 0.410 0.022 (multiplicity 4)
Cd4 0.293 0.000 0.124 (multiplicity 2)
Cd5 0.361 0.316 0.858 (multiplicity 4)
Cd6 0.445 0.408 0.687 (multiplicity 4)
Cd7 0.491 0.315 0.171 (multiplicity 4)
Hg1 0.247 0.500 0.442 (multiplicity 2)

Repeat the second record exactly.
For NdTh2Os9, a structure optimized by DFT (PBE) gives the computed PXRD pattern in this record (Cu Kα (λ = 1.5418 Å)).

Most intense lines, 2θ from 10° to 90°, in order of rising 2θ:
d 2.675, 2θ 33.50, I 974, hkl 2 0 2; d 2.355, 2θ 38.21, I 820, hkl 2 2 -1; d 2.336, 2θ 38.54, I 1000, hkl 0 2 2; d 2.296, 2θ 39.25, I 932, hkl 3 1 -3; d 2.281, 2θ 39.50, I 832, hkl 3 1 1; d 2.154, 2θ 41.94, I 638, hkl 2 2 1

Crystal structure
Unit cell a=9.196 b=5.512 c=9.345 alpha=90.00 beta=109.61 gamma=90.00
Space group C2/m (No. 12)
Asymmetric unit:
Nd1 0.000 0.000 0.000 (multiplicity 2)
Th1 0.138 0.000 0.419 (multiplicity 4)
Os1 0.000 0.500 0.500 (multiplicity 2)
Os2 0.095 0.500 0.260 (multiplicity 4)
Os3 0.137 0.500 0.995 (multiplicity 4)
Os4 0.173 0.254 0.767 (multiplicity 8)